Diffraction record for PmPH2Ru. The X-ray diffraction stick pattern is theoretical, not measured: it uses a DFT-relaxed cell (GGA-PBE, Alexandria) and Cu Kα X-rays.

Most intense lines, 10° ≤ 2θ ≤ 90°, by angle:
28.66°, rel. 100.0; 34.55°, rel. 83.5; 34.77°, rel. 93.1; 37.95°, rel. 88.3; 38.86°, rel. 72.5; 46.66°, rel. 31.2; 52.12°, rel. 20.1; 58.33°, rel. 24.5; 59.29°, rel. 73.3; 72.88°, rel. 21.7

Crystal structure
```
10
Lattice="1.947 -5.165 0.000 1.947 5.165 0.000 0.000 0.000 6.007" Properties=species:S:1:pos:R:3 pbc="T T T"
Pm 1.947 2.962 4.505
Pm 1.947 -2.962 1.502
P 1.947 4.478 1.502
P 1.947 -4.478 4.505
H 1.947 1.685 0.375
H 1.947 1.685 2.628
H 1.947 -1.685 3.379
H 1.947 -1.685 5.632
Ru 1.947 0.000 0.000
Ru 1.947 0.000 3.004
```